Entry 1:
Starting from a structure optimized by DFT (PBE+U), the X-ray diffraction stick pattern of Na3CoC2ClO6 was simulated for λ = 1.5418 Å (Cu Kα).
No peak broadening, texture or thermal motion is included.

Largest 10 diffraction maxima, in order of rising 2θ, 10 to 90 degrees two-theta:
11.01 deg, I 92.1, hkl 1 1 1
18.03 deg, I 17.0, hkl 2 2 0
22.13 deg, I 33.8, hkl 2 2 2
25.60 deg, I 38.0, hkl 4 0 0
33.46 deg, I 51.3, hkl 3 3 3
36.52 deg, I 100.0, hkl 4 4 0
43.12 deg, I 59.3, hkl 6 2 2
52.61 deg, I 27.4, hkl 8 0 0
57.75 deg, I 31.6, hkl 6 6 2
65.74 deg, I 23.8, hkl 8 4 4

Structural model:
Lattice parameters (Å, degrees): 13.917 13.917 13.917 90.00 90.00 90.00
Space group Fd-3 (No. 203, origin choice 2)
One atom of each set of equivalent atoms:
Na 0.097 0.375 0.375 (multiplicity 48)
Co 0.000 0.000 0.500 (multiplicity 16)
C 0.032 0.032 0.718 (multiplicity 32)
Cl 0.000 0.000 0.000 (multiplicity 16)
O 0.016 0.276 0.603 (multiplicity 96)

=====

Entry 2:
Starting from a structure optimized by DFT (PBE+U), the X-ray diffraction stick pattern of MgCoP2O7 was simulated for λ = 1.5418 Å (Cu Kα).
No peak broadening, texture or thermal motion is included.

Largest 10 diffraction maxima, in order of rising 2θ, 10 to 90 degrees two-theta:
17.72 deg, I 26.7, hkl 0 1 0
29.63 deg, I 54.5, hkl 1 0 1
29.82 deg, I 100.0, hkl 1 1 -1
30.83 deg, I 61.6, hkl -1 1 1
35.61 deg, I 16.3, hkl 0 1 -2
44.57 deg, I 23.4, hkl -1 1 2
50.04 deg, I 16.9, hkl 2 0 -2
58.54 deg, I 11.4, hkl 2 -1 2
58.65 deg, I 19.3, hkl 2 2 -1
71.88 deg, I 10.1, hkl 3 -2 1

Structural model:
Lattice parameters (Å, degrees): 4.484 5.240 5.257 103.70 98.44 98.49
Space group P1 (No. 1)
One atom of each set of equivalent atoms:
Mg 0.000 0.000 0.000 (multiplicity 1)
Co 0.997 0.623 0.379 (multiplicity 1)
P 0.405 0.533 0.907 (multiplicity 1)
P 0.593 0.094 0.469 (multiplicity 1)
O 0.218 0.700 0.767 (multiplicity 1)
O 0.219 0.381 0.063 (multiplicity 1)
O 0.284 0.932 0.306 (multiplicity 1)
O 0.500 0.320 0.682 (multiplicity 1)
O 0.714 0.696 0.069 (multiplicity 1)
O 0.779 0.936 0.620 (multiplicity 1)
O 0.781 0.235 0.303 (multiplicity 1)